# SiNi6O8
Computed X-ray diffraction stick pattern, CuKα. Input: DFT lattice parameters and positions (PBE+U).
No peak broadening, texture or thermal motion is included.

The 10 most intense peaks (2θ from 15° to 90°), in order of falling intensity:
- 44.0°, I = 100, (1 1 2)
- 36.3°, I = 89, (2 -1 1)
- 27.9°, I = 57, (0 0 2)
- 54.1°, I = 32, (2 1 1)
- 23.6°, I = 31, (1 0 1)
- 59.6°, I = 29, (3 0 0)
- 33.3°, I = 27, (1 1 0)
- 68.3°, I = 26, (1 1 4)
- 55.0°, I = 22, (2 -1 3)
- 75.1°, I = 18, (4 -1 1)

Atomic structure:
```
SiNi6O8
1.0
5.374 0.000 0.000
-2.687 4.654 0.000
0.000 0.000 6.396
Si Ni O
1 6 8
Direct
0.000 0.000 0.000
0.000 0.381 0.297
0.000 0.619 0.703
0.381 0.000 0.297
0.381 0.381 0.703
0.619 0.000 0.703
0.619 0.619 0.297
0.000 0.272 0.830
0.000 0.728 0.170
0.272 0.000 0.830
0.272 0.272 0.170
0.333 0.667 0.500
0.667 0.333 0.500
0.728 0.000 0.170
0.728 0.728 0.830
```